(1)
Sm5Si2B8: computed XRD peak list (a wavelength of 1.5418 Å), based on a GGA-PBE-relaxed structure.
Peak positions follow from Bragg's law for the DFT cell and can differ from measured ones.

Top 8 peaks for 2θ from 5° to 70°, in order of rising 2θ:
| hkl | d [Å] | I_rel |
| --- | --- | --- |
| 2 1 0 | 3.289 | 650 |
| 1 1 2 | 3.259 | 218 |
| 2 0 2 | 2.762 | 855 |
| 2 1 2 | 2.585 | 1000 |
| 3 1 0 | 2.326 | 342 |
| 4 1 0 | 1.785 | 431 |
| 4 1 2 | 1.641 | 294 |
| 3 3 2 | 1.601 | 244 |

```
data_Sm5Si2B8
_chemical_formula_sum 'Sm10 Si4 B16'
_cell_length_a 7.3549
_cell_length_b 7.3549
_cell_length_c 8.3646
_cell_angle_alpha 90.00
_cell_angle_beta 90.00
_cell_angle_gamma 90.00
_symmetry_space_group_name_H-M 'P 4/m b m'
_symmetry_Int_Tables_number 127
_symmetry_space_group_name_Hall '-P 4 2ab'
loop_
_atom_site_label
_atom_site_type_symbol
_atom_site_fract_x
_atom_site_fract_y
_atom_site_fract_z
Sm1 Sm 0.0000 0.0000 0.0000
Sm2 Sm 0.1804 0.3196 0.2761
Si1 Si 0.1129 0.6129 0.0000
B1 B 0.0000 0.0000 0.3444
B2 B 0.0391 0.8285 0.5000
B3 B 0.0907 0.5907 0.5000
```

---

(2)
Tb5Si3B: computed XRD peak list (a wavelength of 1.5418 Å), based on a GGA-PBE-relaxed structure.
Peak positions follow from Bragg's law for the DFT cell and can differ from measured ones.

Top 8 peaks for 2θ from 5° to 70°, in order of rising 2θ:
| hkl | d [Å] | I_rel |
| --- | --- | --- |
| 2 0 0 | 3.722 | 315 |
| 1 1 1 | 3.564 | 470 |
| 1 0 2 | 2.931 | 493 |
| 2 1 0 | 2.814 | 509 |
| 2 1 1 | 2.574 | 1000 |
| 1 1 2 | 2.561 | 905 |
| 3 0 0 | 2.482 | 372 |
| 4 0 2 | 1.607 | 317 |

```
data_Tb5Si3B
_chemical_formula_sum 'Tb10 Si6 B2'
_cell_length_a 8.5963
_cell_length_b 8.5963
_cell_length_c 6.3772
_cell_angle_alpha 90.00
_cell_angle_beta 90.00
_cell_angle_gamma 120.00
_symmetry_space_group_name_H-M 'P 63/m c m'
_symmetry_Int_Tables_number 193
_symmetry_space_group_name_Hall '-P 6c 2'
loop_
_atom_site_label
_atom_site_type_symbol
_atom_site_fract_x
_atom_site_fract_y
_atom_site_fract_z
Tb1 Tb 0.0000 0.2408 0.2500
Tb2 Tb 0.3333 0.6667 0.0000
Si1 Si 0.0000 0.3997 0.7500
B1 B 0.0000 0.0000 0.0000
```

---

(3)
Ti6Si2B: computed XRD peak list (a wavelength of 1.5418 Å), based on a GGA-PBE-relaxed structure.
Peak positions follow from Bragg's law for the DFT cell and can differ from measured ones.

Top 8 peaks for 2θ from 5° to 70°, in order of rising 2θ:
| hkl | d [Å] | I_rel |
| --- | --- | --- |
| 1 0 1 | 2.889 | 95 |
| 1 1 1 | 2.372 | 1000 |
| 2 1 0 | 2.221 | 666 |
| 2 0 1 | 2.200 | 488 |
| 3 0 0 | 1.959 | 189 |
| 2 1 1 | 1.846 | 172 |
| 0 0 2 | 1.659 | 150 |
| 3 1 1 | 1.463 | 159 |

```
data_Ti6Si2B
_chemical_formula_sum 'Ti6 Si2 B1'
_cell_length_a 6.7858
_cell_length_b 6.7858
_cell_length_c 3.3173
_cell_angle_alpha 90.00
_cell_angle_beta 90.00
_cell_angle_gamma 120.00
_symmetry_space_group_name_H-M 'P -6 2 m'
_symmetry_Int_Tables_number 189
_symmetry_space_group_name_Hall 'P -6 -2'
loop_
_atom_site_label
_atom_site_type_symbol
_atom_site_fract_x
_atom_site_fract_y
_atom_site_fract_z
Ti1 Ti 0.0000 0.2384 0.0000
Ti2 Ti 0.0000 0.6004 0.5000
Si1 Si 0.3333 0.6667 0.0000
B1 B 0.0000 0.0000 0.5000
```

---

(4)
V5Si3B: computed XRD peak list (a wavelength of 1.5418 Å), based on a GGA-PBE-relaxed structure.
Peak positions follow from Bragg's law for the DFT cell and can differ from measured ones.

Top 8 peaks for 2θ from 5° to 70°, in order of rising 2θ:
| hkl | d [Å] | I_rel |
| --- | --- | --- |
| 0 0 2 | 2.427 | 107 |
| 2 1 0 | 2.360 | 359 |
| 1 0 2 | 2.262 | 183 |
| 2 1 1 | 2.122 | 1000 |
| 3 0 0 | 2.081 | 467 |
| 1 1 2 | 2.013 | 803 |
| 2 2 2 | 1.447 | 172 |
| 4 1 0 | 1.362 | 110 |

```
data_V5Si3B
_chemical_formula_sum 'V10 Si6 B2'
_cell_length_a 7.2087
_cell_length_b 7.2087
_cell_length_c 4.8538
_cell_angle_alpha 90.00
_cell_angle_beta 90.00
_cell_angle_gamma 120.00
_symmetry_space_group_name_H-M 'P 63/m c m'
_symmetry_Int_Tables_number 193
_symmetry_space_group_name_Hall '-P 6c 2'
loop_
_atom_site_label
_atom_site_type_symbol
_atom_site_fract_x
_atom_site_fract_y
_atom_site_fract_z
V1 V 0.0000 0.2473 0.2500
V2 V 0.3333 0.6667 0.0000
Si1 Si 0.0000 0.4017 0.7500
B1 B 0.0000 0.0000 0.0000
```

---

(5)
V5Si2B: computed XRD peak list (a wavelength of 1.5418 Å), based on a GGA-PBE-relaxed structure.
Peak positions follow from Bragg's law for the DFT cell and can differ from measured ones.

Top 8 peaks for 2θ from 5° to 70°, in order of rising 2θ:
| hkl | d [Å] | I_rel |
| --- | --- | --- |
| 2 0 2 | 2.642 | 157 |
| 2 1 1 | 2.629 | 77 |
| 2 1 3 | 2.164 | 1000 |
| 2 2 0 | 2.143 | 82 |
| 2 0 4 | 2.014 | 156 |
| 3 1 0 | 1.917 | 324 |
| 0 0 6 | 1.797 | 157 |
| 4 1 3 | 1.361 | 138 |

```
data_V5Si2B
_chemical_formula_sum 'V20 Si8 B4'
_cell_length_a 6.0613
_cell_length_b 6.0613
_cell_length_c 10.7846
_cell_angle_alpha 90.00
_cell_angle_beta 90.00
_cell_angle_gamma 90.00
_symmetry_space_group_name_H-M 'I 4/m c m'
_symmetry_Int_Tables_number 140
_symmetry_space_group_name_Hall '-I 4 2c'
loop_
_atom_site_label
_atom_site_type_symbol
_atom_site_fract_x
_atom_site_fract_y
_atom_site_fract_z
V1 V 0.0000 0.0000 0.0000
V2 V 0.1678 0.3322 0.1587
Si1 Si 0.1333 0.3667 0.5000
B1 B 0.0000 0.0000 0.2500
```

---

(6)
Si3B3W10: computed XRD peak list (a wavelength of 1.5418 Å), based on a GGA-PBE-relaxed structure.
Peak positions follow from Bragg's law for the DFT cell and can differ from measured ones.

Top 8 peaks for 2θ from 5° to 70°, in order of rising 2θ:
| hkl | d [Å] | I_rel |
| --- | --- | --- |
| 0 4 0 | 2.787 | 271 |
| 1 1 3 | 2.706 | 828 |
| 3 1 1 | 2.667 | 640 |
| 0 4 2 | 2.357 | 349 |
| 1 3 3 | 2.231 | 808 |
| 3 3 1 | 2.209 | 1000 |
| 2 4 2 | 2.071 | 681 |
| 2 0 4 | 1.968 | 569 |

```
data_Si3B3W10
_chemical_formula_sum 'Si12 B12 W40'
_cell_length_a 8.6711
_cell_length_b 11.1460
_cell_length_c 8.8367
_cell_angle_alpha 90.00
_cell_angle_beta 90.00
_cell_angle_gamma 90.00
_symmetry_space_group_name_H-M 'F m m 2'
_symmetry_Int_Tables_number 42
_symmetry_space_group_name_Hall 'F 2 -2'
loop_
_atom_site_label
_atom_site_type_symbol
_atom_site_fract_x
_atom_site_fract_y
_atom_site_fract_z
Si1 Si 0.0000 0.0000 0.0000
Si2 Si 0.2500 0.2500 0.1159
B1 B 0.0000 0.0000 0.7381
B2 B 0.1249 0.0000 0.3719
W1 W 0.0000 0.1413 0.5292
W2 W 0.0000 0.1453 0.2232
W3 W 0.1714 0.1426 0.8642
W4 W 0.2426 0.0000 0.6224
```

---

(7)
SmB4: computed XRD peak list (a wavelength of 1.5418 Å), based on a GGA-PBE-relaxed structure.
Peak positions follow from Bragg's law for the DFT cell and can differ from measured ones.

Top 8 peaks for 2θ from 5° to 70°, in order of rising 2θ:
| hkl | d [Å] | I_rel |
| --- | --- | --- |
| 0 0 1 | 4.082 | 569 |
| 2 0 0 | 3.593 | 379 |
| 2 1 0 | 3.214 | 761 |
| 2 0 1 | 2.697 | 553 |
| 2 1 1 | 2.525 | 1000 |
| 4 1 0 | 1.743 | 299 |
| 2 1 2 | 1.723 | 260 |
| 4 1 1 | 1.603 | 346 |

```
data_SmB4
_chemical_formula_sum 'Sm4 B16'
_cell_length_a 7.1866
_cell_length_b 7.1866
_cell_length_c 4.0815
_cell_angle_alpha 90.00
_cell_angle_beta 90.00
_cell_angle_gamma 90.00
_symmetry_space_group_name_H-M 'P 4/m b m'
_symmetry_Int_Tables_number 127
_symmetry_space_group_name_Hall '-P 4 2ab'
loop_
_atom_site_label
_atom_site_type_symbol
_atom_site_fract_x
_atom_site_fract_y
_atom_site_fract_z
Sm1 Sm 0.1828 0.3172 0.0000
B1 B 0.0000 0.0000 0.2041
B2 B 0.0388 0.8251 0.5000
B3 B 0.0876 0.5876 0.5000
```

---

(8)
SmB12: computed XRD peak list (a wavelength of 1.5418 Å), based on a GGA-PBE-relaxed structure.
Peak positions follow from Bragg's law for the DFT cell and can differ from measured ones.

Top 8 peaks for 2θ from 5° to 70°, in order of rising 2θ:
| hkl | d [Å] | I_rel |
| --- | --- | --- |
| 1 1 1 | 4.356 | 902 |
| 2 0 0 | 3.772 | 717 |
| 2 2 0 | 2.667 | 409 |
| 3 1 1 | 2.275 | 1000 |
| 2 2 2 | 2.178 | 300 |
| 3 3 1 | 1.731 | 325 |
| 4 2 0 | 1.687 | 227 |
| 4 2 2 | 1.540 | 285 |

```
data_SmB12
_chemical_formula_sum 'Sm4 B48'
_cell_length_a 7.5445
_cell_length_b 7.5445
_cell_length_c 7.5445
_cell_angle_alpha 90.00
_cell_angle_beta 90.00
_cell_angle_gamma 90.00
_symmetry_space_group_name_H-M 'F m -3 m'
_symmetry_Int_Tables_number 225
_symmetry_space_group_name_Hall '-F 4 2 3'
loop_
_atom_site_label
_atom_site_type_symbol
_atom_site_fract_x
_atom_site_fract_y
_atom_site_fract_z
Sm1 Sm 0.0000 0.0000 0.0000
B1 B 0.0000 0.1686 0.3314
```